1.
Starting from a crystal structure in Alexandria, relaxed with PBE, the powder diffractogram of TcMo2 was calculated for λ = 1.5418 Å (Cu Kα).
Peak positions follow from Bragg's law for the DFT cell and can differ from measured ones.

The 8 most intense peaks (2θ = 10–80°), in order of rising 2θ:
2θ = 40.51°, intensity 20
2θ = 40.65°, intensity 100
2θ = 58.74°, intensity 13
2θ = 58.92°, intensity 6
2θ = 66.68°, intensity 1
2θ = 73.78°, intensity 13
2θ = 73.97°, intensity 19
2θ = 74.05°, intensity 6

Cell and atoms:
Unit cell a=7.0396 b=7.0396 c=3.1348 alpha=90.00 beta=90.00 gamma=143.26
Atoms (fractional coordinates):
1 Tc 0.1696 0.8304 0.0000
2 Tc 0.8304 0.1696 0.0000
3 Mo 0.0000 0.0000 0.5315
4 Mo 0.3357 0.6643 0.5327
5 Mo 0.5000 0.5000 0.0155
6 Mo 0.6643 0.3357 0.5327



2.
Starting from a crystal structure in Alexandria, relaxed with PBE, the powder diffractogram of Tc5Mo was calculated for λ = 1.5418 Å (Cu Kα).
Peak positions follow from Bragg's law for the DFT cell and can differ from measured ones.

The 6 most intense peaks (2θ = 10–80°), in order of rising 2θ:
2θ = 37.52°, intensity 24
2θ = 40.49°, intensity 26
2θ = 42.84°, intensity 100
2θ = 56.38°, intensity 15
2θ = 67.70°, intensity 16
2θ = 75.27°, intensity 18

Cell and atoms:
Unit cell a=5.2452 b=5.2452 c=5.2452 alpha=54.39 beta=54.39 gamma=54.39
Atoms (fractional coordinates):
1 Tc 0.0000 0.6694 0.3306
2 Tc 0.1671 0.1671 0.1671
3 Tc 0.3306 0.0000 0.6694
4 Tc 0.6694 0.3306 0.0000
5 Tc 0.8329 0.8329 0.8329
6 Mo 0.5000 0.5000 0.5000



3.
Starting from a crystal structure in Alexandria, relaxed with PBE, the powder diffractogram of Tc3Mo was calculated for λ = 1.5418 Å (Cu Kα).
Peak positions follow from Bragg's law for the DFT cell and can differ from measured ones.

The 12 most intense peaks (2θ = 10–80°), in order of rising 2θ:
2θ = 37.41°, intensity 24
2θ = 37.56°, intensity 13
2θ = 40.17°, intensity 39
2θ = 42.56°, intensity 26
2θ = 42.70°, intensity 100
2θ = 42.88°, intensity 24
2θ = 56.05°, intensity 11
2θ = 67.38°, intensity 8
2θ = 67.68°, intensity 16
2θ = 74.51°, intensity 4
2θ = 74.66°, intensity 8
2θ = 74.94°, intensity 8

Cell and atoms:
Unit cell a=4.8093 b=5.2628 c=5.5356 alpha=105.01 beta=90.24 gamma=116.85
Atoms (fractional coordinates):
1 Tc 0.0259 0.2336 0.4326
2 Tc 0.0345 0.2393 0.9337
3 Tc 0.4471 0.7432 0.3095
4 Tc 0.5529 0.2568 0.6905
5 Tc 0.9655 0.7607 0.0663
6 Tc 0.9741 0.7664 0.5674
7 Mo 0.4515 0.7241 0.8068
8 Mo 0.5485 0.2759 0.1932